# NdAl3Ni2
Calculated PXRD pattern, Cu Kα. Input: a crystal structure in the Materials Project, relaxed with GGA-PBE.
Neutral-atom scattering factors, no anomalous dispersion.

Structural model:
```
data_NdAl3Ni2
_chemical_formula_sum 'Nd1 Al3 Ni2'
_cell_length_a 5.350
_cell_length_b 5.350
_cell_length_c 4.012
_cell_angle_alpha 90.00
_cell_angle_beta 90.00
_cell_angle_gamma 120.00
_symmetry_space_group_name_H-M 'P 1'
_symmetry_Int_Tables_number 1
loop_
_symmetry_equiv_pos_as_xyz
'x,y,z'
loop_
_atom_site_label
_atom_site_fract_x
_atom_site_fract_y
_atom_site_fract_z
Nd1 0.000 0.000 0.000
Al1 0.000 0.500 0.500
Al2 0.500 0.000 0.500
Al3 0.500 0.500 0.500
Ni1 0.333 0.667 0.000
Ni2 0.667 0.333 0.000
```

Most intense lines, 2θ = 5–70°, by angle:
two_theta	Rel. int.
19.2	9
22.2	33
29.4	29
33.5	57
38.9	16
40.5	100
45.2	17
57.4	33
59.9	10
64.7	24

***

# Ti6Ga16Os7
Calculated PXRD pattern, Cu Kα. Input: a crystal structure in the Materials Project, relaxed with GGA-PBE.
Neutral-atom scattering factors, no anomalous dispersion.

Structural model:
```
data_Ti6Ga16Os7
_chemical_formula_sum 'Ti6 Ga16 Os7'
_cell_length_a 8.645
_cell_length_b 8.645
_cell_length_c 8.645
_cell_angle_alpha 60.00
_cell_angle_beta 60.00
_cell_angle_gamma 60.00
_symmetry_space_group_name_H-M 'P 1'
_symmetry_Int_Tables_number 1
loop_
_symmetry_equiv_pos_as_xyz
'x,y,z'
loop_
_atom_site_label
_atom_site_fract_x
_atom_site_fract_y
_atom_site_fract_z
Ti1 0.228 0.228 0.772
Ti2 0.228 0.772 0.228
Ti3 0.228 0.772 0.772
Ti4 0.772 0.228 0.228
Ti5 0.772 0.228 0.772
Ti6 0.772 0.772 0.228
Ga1 0.128 0.624 0.624
Ga2 0.147 0.147 0.147
Ga3 0.147 0.147 0.558
Ga4 0.147 0.558 0.147
Ga5 0.376 0.376 0.376
Ga6 0.376 0.376 0.872
Ga7 0.376 0.872 0.376
Ga8 0.442 0.853 0.853
Ga9 0.558 0.147 0.147
Ga10 0.624 0.128 0.624
Ga11 0.624 0.624 0.128
Ga12 0.624 0.624 0.624
Ga13 0.853 0.442 0.853
Ga14 0.853 0.853 0.442
Ga15 0.853 0.853 0.853
Ga16 0.872 0.376 0.376
Os1 0.000 0.000 0.500
Os2 0.000 0.500 0.000
Os3 0.000 0.500 0.500
Os4 0.500 0.000 0.000
Os5 0.500 0.000 0.500
Os6 0.500 0.500 0.000
Os7 0.500 0.500 0.500
```

Most intense lines, 2θ = 5–70°, by angle:
two_theta	Rel. int.
12.5	10
14.5	6
20.5	5
25.2	39
36.0	5
41.8	100
43.8	6
49.5	23
60.6	14
66.7	8

***

# Ba3SrIr2O9
Calculated PXRD pattern, Cu Kα. Input: a crystal structure in the Materials Project, relaxed with GGA-PBE.
Neutral-atom scattering factors, no anomalous dispersion.

Structural model:
```
data_Ba3SrIr2O9
_chemical_formula_sum 'Ba6 Sr2 Ir4 O18'
_cell_length_a 6.057
_cell_length_b 6.057
_cell_length_c 15.069
_cell_angle_alpha 91.57
_cell_angle_beta 91.57
_cell_angle_gamma 119.43
_symmetry_space_group_name_H-M 'P 1'
_symmetry_Int_Tables_number 1
loop_
_symmetry_equiv_pos_as_xyz
'x,y,z'
loop_
_atom_site_label
_atom_site_fract_x
_atom_site_fract_y
_atom_site_fract_z
Ba1 0.012 0.988 0.750
Ba2 0.327 0.659 0.409
Ba3 0.341 0.673 0.091
Ba4 0.659 0.327 0.909
Ba5 0.673 0.341 0.591
Ba6 0.988 0.012 0.250
Sr1 0.000 0.000 0.000
Sr2 0.000 0.000 0.500
Ir1 0.310 0.639 0.834
Ir2 0.361 0.690 0.666
Ir3 0.639 0.310 0.334
Ir4 0.690 0.361 0.166
O1 0.034 0.511 0.733
O2 0.130 0.770 0.904
O3 0.133 0.317 0.892
O4 0.230 0.870 0.596
O5 0.234 0.419 0.574
O6 0.317 0.133 0.392
O7 0.419 0.234 0.074
O8 0.489 0.966 0.767
O9 0.491 0.509 0.750
O10 0.509 0.491 0.250
O11 0.511 0.034 0.233
O12 0.581 0.766 0.926
O13 0.683 0.867 0.608
O14 0.766 0.581 0.426
O15 0.770 0.130 0.404
O16 0.867 0.683 0.108
O17 0.870 0.230 0.096
O18 0.966 0.489 0.267
```

Most intense lines, 2θ = 5–70°, by angle:
two_theta	Rel. int.
17.6	15
18.0	15
18.1	22
25.1	15
28.5	29
29.3	73
29.5	100
29.8	17
52.1	19
61.2	16

***

# SbF5
Calculated PXRD pattern, Cu Kα. Input: a crystal structure in the Materials Project, relaxed with GGA-PBE.
Neutral-atom scattering factors, no anomalous dispersion.

Structural model:
```
data_SbF5
_chemical_formula_sum 'Sb4 F20'
_cell_length_a 5.522
_cell_length_b 10.096
_cell_length_c 7.915
_cell_angle_alpha 90.00
_cell_angle_beta 110.95
_cell_angle_gamma 90.00
_symmetry_space_group_name_H-M 'P 1'
_symmetry_Int_Tables_number 1
loop_
_symmetry_equiv_pos_as_xyz
'x,y,z'
loop_
_atom_site_label
_atom_site_fract_x
_atom_site_fract_y
_atom_site_fract_z
Sb1 0.119 0.248 0.403
Sb2 0.119 0.252 0.903
Sb3 0.881 0.748 0.097
Sb4 0.881 0.752 0.597
F1 0.117 0.191 0.654
F2 0.117 0.309 0.154
F3 0.117 0.610 0.203
F4 0.117 0.890 0.703
F5 0.161 0.636 0.627
F6 0.161 0.864 0.127
F7 0.356 0.116 0.012
F8 0.356 0.384 0.512
F9 0.396 0.130 0.432
F10 0.396 0.370 0.932
F11 0.604 0.630 0.068
F12 0.604 0.870 0.568
F13 0.644 0.616 0.488
F14 0.644 0.884 0.988
F15 0.839 0.136 0.873
F16 0.839 0.364 0.373
F17 0.883 0.110 0.297
F18 0.883 0.390 0.797
F19 0.883 0.691 0.846
F20 0.883 0.809 0.346
```

Most intense lines, 2θ = 5–70°, by angle:
two_theta	Rel. int.
17.2	43
17.6	71
19.3	55
24.7	34
25.7	100
31.8	14
36.1	14
39.0	19
44.3	23
50.4	21

***

# KGdH2S2O9
Calculated PXRD pattern, Cu Kα. Input: a crystal structure in the Materials Project, relaxed with GGA-PBE.
Neutral-atom scattering factors, no anomalous dispersion.

Structural model:
```
data_KGdH2S2O9
_chemical_formula_sum 'K4 Gd4 H8 S8 O36'
_cell_length_a 10.288
_cell_length_b 8.458
_cell_length_c 10.505
_cell_angle_alpha 90.00
_cell_angle_beta 119.53
_cell_angle_gamma 90.00
_symmetry_space_group_name_H-M 'P 1'
_symmetry_Int_Tables_number 1
loop_
_symmetry_equiv_pos_as_xyz
'x,y,z'
loop_
_atom_site_label
_atom_site_fract_x
_atom_site_fract_y
_atom_site_fract_z
K1 0.210 0.177 0.191
K2 0.210 0.323 0.691
K3 0.790 0.677 0.309
K4 0.790 0.823 0.809
Gd1 0.258 0.649 0.038
Gd2 0.258 0.851 0.538
Gd3 0.742 0.149 0.462
Gd4 0.742 0.351 0.962
H1 0.279 0.519 0.446
H2 0.279 0.981 0.946
H3 0.413 0.515 0.605
H4 0.413 0.985 0.105
H5 0.587 0.015 0.895
H6 0.587 0.485 0.395
H7 0.721 0.019 0.054
H8 0.721 0.481 0.554
S1 0.051 0.634 0.180
S2 0.051 0.866 0.680
S3 0.500 0.196 0.601
S4 0.500 0.304 0.101
S5 0.500 0.696 0.899
S6 0.500 0.804 0.399
S7 0.949 0.134 0.320
S8 0.949 0.366 0.820
O1 0.057 0.749 0.575
O2 0.057 0.751 0.075
O3 0.075 0.713 0.315
O4 0.075 0.787 0.815
O5 0.098 0.057 0.388
O6 0.098 0.443 0.888
O7 0.172 0.516 0.212
O8 0.172 0.984 0.712
O9 0.313 0.561 0.545
O10 0.313 0.939 0.045
O11 0.361 0.616 0.880
O12 0.361 0.884 0.380
O13 0.404 0.080 0.624
O14 0.404 0.420 0.124
O15 0.420 0.228 0.957
O16 0.420 0.272 0.457
O17 0.455 0.683 0.280
O18 0.455 0.817 0.780
O19 0.545 0.183 0.220
O20 0.545 0.317 0.720
O21 0.580 0.728 0.543
O22 0.580 0.772 0.043
O23 0.596 0.580 0.876
O24 0.596 0.920 0.376
O25 0.639 0.116 0.620
O26 0.639 0.384 0.120
O27 0.687 0.061 0.955
O28 0.687 0.439 0.455
O29 0.828 0.016 0.288
O30 0.828 0.484 0.788
O31 0.902 0.557 0.112
O32 0.902 0.943 0.612
O33 0.925 0.213 0.185
O34 0.925 0.287 0.685
O35 0.943 0.249 0.925
O36 0.943 0.251 0.425
```

Most intense lines, 2θ = 5–70°, by angle:
two_theta	Rel. int.
14.3	100
14.4	99
19.8	35
23.2	34
25.9	23
27.1	77
28.0	51
28.1	24
28.5	83
33.3	29

***

# Cu4Bi5S10
Calculated PXRD pattern, Cu Kα. Input: a crystal structure in the Materials Project, relaxed with GGA-PBE.
Neutral-atom scattering factors, no anomalous dispersion.

Structural model:
```
data_Cu4Bi5S10
_chemical_formula_sum 'Cu4 Bi5 S10'
_cell_length_a 9.007
_cell_length_b 9.007
_cell_length_c 12.913
_cell_angle_alpha 106.98
_cell_angle_beta 106.98
_cell_angle_gamma 25.02
_symmetry_space_group_name_H-M 'P 1'
_symmetry_Int_Tables_number 1
loop_
_symmetry_equiv_pos_as_xyz
'x,y,z'
loop_
_atom_site_label
_atom_site_fract_x
_atom_site_fract_y
_atom_site_fract_z
Cu1 0.096 0.096 0.013
Cu2 0.287 0.287 0.445
Cu3 0.713 0.713 0.555
Cu4 0.904 0.904 0.987
Bi1 0.000 0.000 0.500
Bi2 0.198 0.198 0.838
Bi3 0.412 0.412 0.725
Bi4 0.588 0.588 0.275
Bi5 0.802 0.802 0.162
S1 0.022 0.022 0.133
S2 0.153 0.153 0.472
S3 0.241 0.241 0.260
S4 0.336 0.336 0.997
S5 0.457 0.457 0.334
S6 0.543 0.543 0.666
S7 0.664 0.664 0.003
S8 0.759 0.759 0.740
S9 0.847 0.847 0.528
S10 0.978 0.978 0.867
```

Most intense lines, 2θ = 5–70°, by angle:
two_theta	Rel. int.
14.4	36
24.4	63
25.4	33
27.7	36
28.4	100
29.2	64
33.2	46
35.3	36
42.3	45
46.6	36

***

# Hg3S2Br2
Calculated PXRD pattern, Cu Kα. Input: a crystal structure in the Materials Project, relaxed with GGA-PBE.
Neutral-atom scattering factors, no anomalous dispersion.

Structural model:
```
data_Hg3S2Br2
_chemical_formula_sum 'Hg12 S8 Br8'
_cell_length_a 10.337
_cell_length_b 10.337
_cell_length_c 9.725
_cell_angle_alpha 90.91
_cell_angle_beta 90.91
_cell_angle_gamma 56.33
_symmetry_space_group_name_H-M 'P 1'
_symmetry_Int_Tables_number 1
loop_
_symmetry_equiv_pos_as_xyz
'x,y,z'
loop_
_atom_site_label
_atom_site_fract_x
_atom_site_fract_y
_atom_site_fract_z
Hg1 0.000 0.500 0.000
Hg2 0.092 0.667 0.297
Hg3 0.238 0.762 0.000
Hg4 0.249 0.249 0.277
Hg5 0.333 0.908 0.703
Hg6 0.487 0.487 0.734
Hg7 0.500 0.000 0.000
Hg8 0.513 0.513 0.266
Hg9 0.667 0.092 0.297
Hg10 0.751 0.751 0.723
Hg11 0.762 0.238 0.000
Hg12 0.908 0.333 0.703
S1 0.002 0.507 0.749
S2 0.239 0.739 0.751
S3 0.261 0.761 0.249
S4 0.493 0.998 0.251
S5 0.507 0.002 0.749
S6 0.739 0.239 0.751
S7 0.761 0.261 0.249
S8 0.998 0.493 0.251
Br1 0.123 0.123 0.506
Br2 0.124 0.124 0.967
Br3 0.374 0.374 0.006
Br4 0.382 0.382 0.476
Br5 0.618 0.618 0.524
Br6 0.626 0.626 0.994
Br7 0.876 0.876 0.033
Br8 0.877 0.877 0.494
```

Most intense lines, 2θ = 5–70°, by angle:
two_theta	Rel. int.
13.2	32
13.4	30
19.6	28
27.5	39
28.4	32
32.4	100
32.8	90
36.8	47
37.0	37
39.6	53